Starting from the PBE geometry in the Materials Project, the X-ray powder pattern of Li5CuF8 was calculated for Cu Ka.
Kinematic intensities with the Lorentz-polarization factor, no thermal factor.

Crystal structure
```
Li5CuF8
1.0
2.916 1.684 4.936
-2.916 1.684 4.936
0.000 -3.368 4.936
Li Cu F
5 1 8
Direct
0.000 0.500 0.500 Li
0.142 0.142 0.142 Li
0.500 0.000 0.500 Li
0.500 0.500 0.000 Li
0.858 0.858 0.858 Li
0.500 0.500 0.500 Cu
0.267 0.267 0.267 F
0.267 0.732 0.732 F
0.268 0.268 0.733 F
0.268 0.733 0.268 F
0.732 0.267 0.732 F
0.732 0.732 0.267 F
0.733 0.268 0.268 F
0.733 0.733 0.733 F
```

Most intense lines, 2θ = 10–90°, by intensity:
- 18.56 deg, d 4.781, I = 100
- 43.37 deg, d 2.086, I = 71
- 21.29 deg, d 4.173, I = 39
- 35.13 deg, d 2.555, I = 24
- 35.76 deg, d 2.511, I = 23
- 30.65 deg, d 2.916, I = 23
- 63.83 deg, d 1.458, I = 21
- 62.18 deg, d 1.493, I = 20
- 17.97 deg, d 4.936, I = 20
- 57.42 deg, d 1.605, I = 18
- 48.31 deg, d 1.884, I = 12
- 29.92 deg, d 2.986, I = 12